No. 1
Diffraction record for Li2MnSiO4. The powder diffraction line list is computed, not measured: it uses a GGA+U-relaxed structure and copper Kα.

Atomic structure:
Cell: 5.0448 5.0448 11.8255 Å, 90.00 90.00 120.00°
Space group P3_121 (No. 152)
Inequivalent atoms, fractional coordinates:
Li1 0.1104 0.6724 0.4139 [6 per cell]
Mn1 0.0000 0.5459 0.1667 [3 per cell]
Si1 0.0000 0.7972 0.6667 [3 per cell]
O1 0.0996 0.6591 0.7752 [6 per cell]
O2 0.1368 0.2957 0.3655 [6 per cell]

Peak list (10 most intense, 2θ = 10–80°, by angle)
d (Å), intensity, index
4.098, 639, 1 0 1
3.514, 1000, 1 0 2
2.927, 658, 0 1 3
2.522, 453, 1 1 0
2.320, 245, 1 1 2
2.080, 316, 0 1 5
1.911, 428, 2 0 3
1.635, 219, 2 1 1
1.523, 161, 1 2 3
1.400, 151, 1 0 8

No. 2
Diffraction record for Li5Co5Ni2O12. The powder diffraction line list is computed, not measured: it uses a GGA+U-relaxed structure and copper Kα.

Atomic structure:
Cell: 5.0043 5.0086 9.6153 Å, 94.73 94.86 119.31°
Space group P1 (No. 1)
Inequivalent atoms, fractional coordinates:
Li1 0.0000 0.0000 0.0000 [1 per cell]
Li2 0.0682 0.4084 0.2438 [1 per cell]
Li3 0.2444 0.2561 0.7498 [1 per cell]
Li4 0.5890 0.9296 0.7504 [1 per cell]
Li5 0.7409 0.7537 0.2440 [1 per cell]
Co1 0.3344 0.6658 0.9961 [1 per cell]
Co2 0.3962 0.0796 0.2427 [1 per cell]
Co3 0.4912 0.5086 0.4994 [1 per cell]
Co4 0.8258 0.1740 0.4991 [1 per cell]
Co5 0.9151 0.6011 0.7559 [1 per cell]
Ni1 0.1578 0.8400 0.4969 [1 per cell]
Ni2 0.6716 0.3362 0.9988 [1 per cell]
O1 0.0690 0.7045 0.1189 [1 per cell]
O2 0.1274 0.1589 0.3869 [1 per cell]
O3 0.1809 0.5248 0.6133 [1 per cell]
O4 0.2824 0.9230 0.8697 [1 per cell]
O5 0.3967 0.3864 0.1102 [1 per cell]
O6 0.4765 0.8117 0.3870 [1 per cell]
O7 0.5557 0.2386 0.6150 [1 per cell]
O8 0.6197 0.6040 0.8757 [1 per cell]
O9 0.6795 0.0299 0.1060 [1 per cell]
O10 0.7612 0.4450 0.3851 [1 per cell]
O11 0.8449 0.8678 0.6144 [1 per cell]
O12 0.9629 0.3185 0.8832 [1 per cell]

Peak list (10 most intense, 2θ = 10–80°, by angle)
d (Å), intensity, index
4.741, 483, 0 0 2
4.321, 298, 1 -1 0
4.163, 180, 0 1 -1
3.735, 341, 0 1 1
2.745, 143, 1 0 -3
2.373, 291, 0 0 4
2.365, 286, -1 2 1
2.071, 517, 1 1 2
2.042, 1000, 1 -2 3
1.455, 411, 0 3 -1

No. 3
Diffraction record for MgMn5FeO12. The powder diffraction line list is computed, not measured: it uses a GGA+U-relaxed structure and copper Kα.

Atomic structure:
Cell: 5.0776 8.8961 9.9206 Å, 90.00 97.14 90.00°
Space group Cm (No. 8)
Inequivalent atoms, fractional coordinates:
Mg1 0.0000 0.0000 0.0000 [2 per cell]
Mn1 0.0580 0.3333 0.2332 [4 per cell]
Mn2 0.0862 0.1675 0.7413 [4 per cell]
Mn3 0.0872 0.5000 0.7445 [2 per cell]
Fe1 0.0698 0.0000 0.2874 [2 per cell]
O1 0.1954 0.1604 0.1383 [4 per cell]
O2 0.2155 0.5000 0.1392 [2 per cell]
O3 0.2670 0.0000 0.8482 [2 per cell]
O4 0.2930 0.3472 0.8518 [4 per cell]
O5 0.3786 0.5000 0.6414 [2 per cell]
O6 0.3987 0.1642 0.6486 [4 per cell]
O7 0.4011 0.3160 0.3405 [4 per cell]
O8 0.4515 0.0000 0.3401 [2 per cell]

Peak list (10 most intense, 2θ = 10–80°, by angle)
d (Å), intensity, index
4.922, 1000, 0 0 2
2.515, 258, 1 3 -1
2.437, 156, 1 3 1
2.366, 84, 2 0 -2
2.137, 74, 2 0 2
2.081, 143, 1 3 -3
1.957, 159, 1 3 3
1.881, 69, 2 0 -4
1.609, 86, 1 3 -5
1.469, 108, 3 3 -1

No. 4
Diffraction record for VCu2BiO6. The powder diffraction line list is computed, not measured: it uses a GGA+U-relaxed structure and copper Kα.

Atomic structure:
Cell: 16.6664 7.8524 13.7518 Å, 90.00 117.75 90.00°
Space group C2/m (No. 12)
Inequivalent atoms, fractional coordinates:
V1 0.0425 0.0000 0.2329 [4 per cell]
V2 0.1535 0.5000 0.4616 [4 per cell]
V3 0.1846 0.5000 0.8769 [4 per cell]
Cu1 0.0539 0.3149 0.6358 [8 per cell]
Cu2 0.1017 0.1802 0.0210 [8 per cell]
Cu3 0.2378 0.2013 0.2979 [8 per cell]
Bi1 0.0636 0.5000 0.1566 [4 per cell]
Bi2 0.1207 0.0000 0.5323 [4 per cell]
Bi3 0.2154 0.0000 0.8381 [4 per cell]
O1 0.0000 0.1724 0.5000 [4 per cell]
O2 0.0000 0.3265 0.0000 [4 per cell]
O3 0.0211 0.1775 0.2869 [8 per cell]
O4 0.0278 0.0000 0.9135 [4 per cell]
O5 0.0337 0.5000 0.4102 [4 per cell]
O6 0.1338 0.5000 0.7292 [4 per cell]
O7 0.1525 0.3212 0.9197 [8 per cell]
O8 0.1580 0.1623 0.6862 [8 per cell]
O9 0.1632 0.0000 0.2713 [4 per cell]
O10 0.1711 0.3208 0.1559 [8 per cell]
O11 0.1834 0.5000 0.3544 [4 per cell]
O12 0.1936 0.0000 0.0630 [4 per cell]
O13 0.1968 0.3228 0.5440 [8 per cell]

Peak list (10 most intense, 2θ = 10–80°, by angle)
d (Å), intensity, index
6.685, 708, 1 1 -1
6.370, 465, 2 0 -2
3.068, 1000, 5 1 -2
3.042, 944, 1 1 -4
2.835, 993, 4 2 -1
2.821, 922, 0 2 3
2.653, 506, 4 0 2
2.564, 374, 1 3 -1
2.473, 346, 4 2 -4
1.826, 323, 5 3 -5

No. 5
Diffraction record for La7SmFe8O24. The powder diffraction line list is computed, not measured: it uses a GGA+U-relaxed structure and copper Kα.

Atomic structure:
Cell: 7.9025 7.9025 7.9025 Å, 90.00 90.00 90.00°
Space group Pm-3m (No. 221)
Inequivalent atoms, fractional coordinates:
La1 0.0000 0.0000 0.0000 [1 per cell]
La2 0.0000 0.0000 0.5000 [3 per cell]
La3 0.0000 0.5000 0.5000 [3 per cell]
Sm1 0.5000 0.5000 0.5000 [1 per cell]
Fe1 0.2503 0.2503 0.2503 [8 per cell]
O1 0.0000 0.2500 0.2500 [12 per cell]
O2 0.2511 0.2511 0.5000 [12 per cell]

Peak list (9 most intense, 2θ = 10–80°, by angle)
d (Å), intensity, index
3.951, 133, 2 0 0
2.794, 1000, 2 2 0
2.281, 188, 2 2 2
1.976, 328, 4 0 0
1.767, 71, 4 2 0
1.613, 384, 4 2 2
1.397, 192, 4 4 0
1.317, 38, 6 0 0
1.249, 163, 6 2 0